Diffraction record for CaPmTlI6. The powder XRD pattern is simulated, not measured: it uses a DFT-relaxed cell (PBE, Alexandria) and CuKα.
Peak positions follow from Bragg's law for the DFT cell and can differ from measured ones.

Principal peaks in the range 5° ≤ 2θ ≤ 70°, in order of falling intensity:
| 2θ/deg | intensity |
| --- | --- |
| 25.0 | 100.0 |
| 32.4 | 74.6 |
| 17.3 | 55.2 |
| 38.8 | 44.5 |
| 36.1 | 24.8 |
| 42.1 | 23.5 |
| 63.2 | 20.7 |
| 51.4 | 17.2 |
| 66.2 | 15.4 |
| 28.2 | 14.6 |

Atomic structure:
```
data_CaPmTlI6
_cell_length_a 8.045
_cell_length_b 8.045
_cell_length_c 15.223
_cell_angle_alpha 90.00
_cell_angle_beta 90.00
_cell_angle_gamma 120.00
_space_group_name_H-M_alt 'P 1'
_space_group_IT_number 1
_space_group_name_Hall 'P 1'
loop_
_atom_site_label
_atom_site_type_symbol
_atom_site_fract_x
_atom_site_fract_y
_atom_site_fract_z
Ca1 Ca 0.333 0.667 0.250
Ca2 Ca 0.667 0.333 0.750
Pm1 Pm 0.333 0.667 0.750
Pm2 Pm 0.667 0.333 0.250
Tl1 Tl 0.000 0.000 0.000
Tl2 Tl 0.000 0.000 0.500
I1 I 0.003 0.367 0.632
I2 I 0.003 0.636 0.868
I3 I 0.364 0.367 0.868
I4 I 0.364 0.997 0.632
I5 I 0.367 0.003 0.132
I6 I 0.367 0.364 0.368
I7 I 0.633 0.636 0.632
I8 I 0.633 0.997 0.868
I9 I 0.636 0.003 0.368
I10 I 0.636 0.633 0.132
I11 I 0.997 0.364 0.132
I12 I 0.997 0.633 0.368
```